# 1
This entry pairs a crystal structure of PrGeTe3Au with its theoretical powder X-ray diffraction pattern. Radiation: Cu Kα, 1.54184 Å. Structure: DFT lattice parameters and positions (PBE).

Largest 10 diffraction maxima, most intense first, 10° ≤ 2θ ≤ 90°:
32.14 deg, I = 100.0
14.13 deg, I = 74.5
29.14 deg, I = 52.6
39.84 deg, I = 51.3
33.53 deg, I = 38.7
31.71 deg, I = 38.0
29.29 deg, I = 33.5
36.53 deg, I = 33.5
27.81 deg, I = 32.7
25.20 deg, I = 26.3

Crystal structure
abc: 13.2489 4.5256 12.5342
angles: 90.00 90.00 90.00
Sites, in units of the cell vectors:
Pr: 0.0363 0.2500 0.1995
Pr: 0.4637 0.7500 0.6995
Pr: 0.5363 0.2500 0.3005
Pr: 0.9637 0.7500 0.8005
Ge: 0.2364 0.7500 0.8925
Ge: 0.2636 0.2500 0.3925
Ge: 0.7364 0.7500 0.6075
Ge: 0.7636 0.2500 0.1075
Te: 0.0538 0.7500 0.3748
Te: 0.0969 0.2500 0.9422
Te: 0.1877 0.7500 0.6716
Te: 0.3123 0.2500 0.1716
Te: 0.4031 0.7500 0.4422
Te: 0.4462 0.2500 0.8748
Te: 0.5538 0.7500 0.1252
Te: 0.5969 0.2500 0.5578
Te: 0.6877 0.7500 0.8284
Te: 0.8123 0.2500 0.3284
Te: 0.9031 0.7500 0.0578
Te: 0.9462 0.2500 0.6252
Au: 0.2122 0.7500 0.2376
Au: 0.2878 0.2500 0.7376
Au: 0.7122 0.7500 0.2624
Au: 0.7878 0.2500 0.7624



# 2
This entry pairs a crystal structure of NaTmS2O8 with its theoretical powder X-ray diffraction pattern. Radiation: Cu Kα, 1.54184 Å. Structure: DFT lattice parameters and positions (PBE).

Largest 10 diffraction maxima, most intense first, 10° ≤ 2θ ≤ 90°:
16.14 deg, I = 100.0
25.64 deg, I = 72.3
26.24 deg, I = 69.3
31.90 deg, I = 55.0
24.48 deg, I = 32.5
40.96 deg, I = 30.1
41.79 deg, I = 24.2
49.99 deg, I = 22.0
37.01 deg, I = 21.6
22.71 deg, I = 19.1

Crystal structure
abc: 4.5934 6.7937 9.3923
angles: 90.00 96.89 90.00
Sites, in units of the cell vectors:
Na: 0.1353 0.2500 0.3476
Na: 0.8647 0.7500 0.6524
Tm: 0.1481 0.2500 0.8201
Tm: 0.8519 0.7500 0.1799
S: 0.3351 0.7500 0.4125
S: 0.3664 0.7500 0.9259
S: 0.6336 0.2500 0.0741
S: 0.6649 0.2500 0.5875
O: 0.1789 0.5778 0.3390
O: 0.1789 0.9222 0.3390
O: 0.2382 0.5742 0.8515
O: 0.2382 0.9258 0.8515
O: 0.3037 0.7500 0.0799
O: 0.3089 0.2500 0.0671
O: 0.3278 0.7500 0.5667
O: 0.3535 0.2500 0.6172
O: 0.6465 0.7500 0.3828
O: 0.6722 0.2500 0.4333
O: 0.6911 0.7500 0.9329
O: 0.6963 0.2500 0.9201
O: 0.7618 0.0742 0.1485
O: 0.7618 0.4258 0.1485
O: 0.8211 0.0778 0.6610
O: 0.8211 0.4222 0.6610



# 3
This entry pairs a crystal structure of Mo4W2Au3N3 with its theoretical powder X-ray diffraction pattern. Radiation: Cu Kα, 1.54184 Å. Structure: DFT lattice parameters and positions (PBE).

Largest 10 diffraction maxima, most intense first, 10° ≤ 2θ ≤ 90°:
39.43 deg, I = 100.0
38.07 deg, I = 55.8
40.17 deg, I = 30.7
33.76 deg, I = 22.8
58.42 deg, I = 18.8
73.27 deg, I = 16.1
32.20 deg, I = 14.0
72.51 deg, I = 14.0
53.46 deg, I = 13.7
74.55 deg, I = 11.7

Crystal structure
abc: 5.3165 5.3165 13.8021
angles: 100.74 100.74 63.05
Sites, in units of the cell vectors:
Mo: 0.0778 0.1765 0.0847
Mo: 0.1124 0.3222 0.4204
Mo: 0.1765 0.0778 0.5847
Mo: 0.3222 0.1124 0.9204
Mo: 0.6778 0.8876 0.0796
Mo: 0.8235 0.9222 0.4153
Mo: 0.8876 0.6778 0.5796
Mo: 0.9222 0.8235 0.9153
W: 0.3632 0.4744 0.0896
W: 0.4744 0.3632 0.5896
W: 0.5256 0.6368 0.4104
W: 0.6368 0.5256 0.9104
Au: 0.0993 0.9007 0.2500
Au: 0.2317 0.4352 0.7643
Au: 0.4352 0.2317 0.2643
Au: 0.5648 0.7683 0.7357
Au: 0.7683 0.5648 0.2357
Au: 0.9007 0.0993 0.7500
N: 0.0000 0.5000 0.0000
N: 0.2045 0.6683 0.4970
N: 0.3317 0.7955 0.0030
N: 0.5000 0.0000 0.5000
N: 0.6683 0.2045 0.9970
N: 0.7955 0.3317 0.5030



# 4
This entry pairs a crystal structure of Rb3NbS4 with its theoretical powder X-ray diffraction pattern. Radiation: Cu Kα, 1.54184 Å. Structure: DFT lattice parameters and positions (PBE).

Largest 10 diffraction maxima, most intense first, 10° ≤ 2θ ≤ 90°:
25.95 deg, I = 100.0
30.27 deg, I = 93.1
24.22 deg, I = 78.7
24.33 deg, I = 65.7
31.65 deg, I = 41.2
37.02 deg, I = 40.3
28.61 deg, I = 37.7
15.14 deg, I = 36.3
32.00 deg, I = 35.0
48.60 deg, I = 26.9

Crystal structure
abc: 9.6727 11.1878 9.7480
angles: 90.00 90.00 90.00
Sites, in units of the cell vectors:
Rb: 0.0505 0.0434 0.2101
Rb: 0.0505 0.4566 0.2101
Rb: 0.1445 0.7500 0.4160
Rb: 0.3555 0.2500 0.9160
Rb: 0.4495 0.5434 0.7101
Rb: 0.4495 0.9566 0.7101
Rb: 0.5505 0.0434 0.2899
Rb: 0.5505 0.4566 0.2899
Rb: 0.6445 0.7500 0.0840
Rb: 0.8555 0.2500 0.5840
Rb: 0.9495 0.5434 0.7899
Rb: 0.9495 0.9566 0.7899
Nb: 0.2186 0.7500 0.9853
Nb: 0.2814 0.2500 0.4853
Nb: 0.7186 0.7500 0.5147
Nb: 0.7814 0.2500 0.0147
S: 0.9995 0.2500 0.9217
S: 0.0005 0.7500 0.0783
S: 0.1672 0.0804 0.5518
S: 0.1672 0.4196 0.5518
S: 0.2011 0.7500 0.7507
S: 0.2989 0.2500 0.2507
S: 0.3328 0.5804 0.0518
S: 0.3328 0.9196 0.0518
S: 0.4995 0.2500 0.5783
S: 0.5005 0.7500 0.4217
S: 0.6672 0.0804 0.9482
S: 0.6672 0.4196 0.9482
S: 0.7011 0.7500 0.7493
S: 0.7989 0.2500 0.2493
S: 0.8328 0.5804 0.4482
S: 0.8328 0.9196 0.4482